The following is a theoretical X-ray powder pattern of PmTm4Tl2. It was derived from DFT lattice parameters and positions (GGA-PBE), using Cu Kα, 1.54184 Å.
Neutral-atom scattering factors, no anomalous dispersion.

Structure:
a = 9.3114 Å, b = 9.3114 Å, c = 4.9157 Å
α = 90.00°, β = 90.00°, γ = 90.00°
Space group P4_2/mnm (No. 136)
Inequivalent atoms, fractional coordinates:
Pm (0.0000, 0.0000, 0.0000) (multiplicity 2)
Tm (0.1078, 0.3576, 0.5000) (multiplicity 8)
Tl (0.1840, 0.8160, 0.5000) (multiplicity 4)

Peak list (10 most intense, 2θ from 10° to 90°, most intense first)
| 2θ/deg | Rel. int. | h k l |
| --- | --- | --- |
| 32.7 | 100 | 2 2 1 |
| 28.1 | 52 | 2 1 1 |
| 35.5 | 43 | 3 1 1 |
| 36.6 | 38 | 0 0 2 |
| 63.4 | 28 | 2 2 3 |
| 39.9 | 25 | 4 1 0 |
| 55.2 | 20 | 4 1 2 |
| 21.3 | 19 | 2 1 0 |
| 30.4 | 17 | 3 1 0 |
| 34.2 | 17 | 3 0 1 |


The following is a theoretical X-ray powder pattern of Tm3Tl4InS8. It was derived from DFT lattice parameters and positions (GGA-PBE), using Cu Kα, 1.54184 Å.
Neutral-atom scattering factors, no anomalous dispersion.

Structure:
a = 7.9215 Å, b = 7.9215 Å, c = 22.5960 Å
α = 90.00°, β = 90.00°, γ = 120.00°
Space group R-3m (No. 166, hexagonal axes)
Inequivalent atoms, fractional coordinates:
Tm (0.0000, 0.5000, 0.0000) (multiplicity 9)
Tl (0.0000, 0.0000, 0.5000) (multiplicity 3)
Tl (0.0000, 0.5000, 0.5000) (multiplicity 9)
In (0.0000, 0.0000, 0.0000) (multiplicity 3)
S (0.0000, 0.0000, 0.2683) (multiplicity 6)
S (0.0029, 0.5015, 0.7318) (multiplicity 18)

Peak list (10 most intense, 2θ from 10° to 90°, most intense first)
| 2θ/deg | Rel. int. | h k l |
| --- | --- | --- |
| 30.5 | 100 | 0 2 4 |
| 27.2 | 64 | 2 0 2 |
| 41.4 | 39 | 2 0 8 |
| 45.8 | 33 | 2 2 0 |
| 23.6 | 33 | 0 0 6 |
| 52.2 | 25 | 2 2 6 |
| 68.8 | 22 | 2 2 12 |
| 48.2 | 18 | 0 2 10 |
| 56.0 | 18 | 4 0 4 |
| 75.2 | 15 | 2 4 4 |


The following is a theoretical X-ray powder pattern of MnGaPSe. It was derived from DFT lattice parameters and positions (GGA-PBE), using Cu Kα, 1.54184 Å.
Neutral-atom scattering factors, no anomalous dispersion.

Structure:
a = 3.6108 Å, b = 3.6108 Å, c = 19.0100 Å
α = 90.00°, β = 90.00°, γ = 120.00°
Space group R3m (No. 160, hexagonal axes)
Inequivalent atoms, fractional coordinates:
Mn (0.0000, 0.0000, 0.0000) (multiplicity 3)
Ga (0.0000, 0.0000, 0.4841) (multiplicity 3)
P (0.0000, 0.0000, 0.7345) (multiplicity 3)
Se (0.0000, 0.0000, 0.2539) (multiplicity 3)

Peak list (10 most intense, 2θ from 10° to 90°, most intense first)
| 2θ/deg | Rel. int. | h k l |
| --- | --- | --- |
| 34.3 | 100 | 1 0 4 |
| 50.6 | 33 | 1 1 0 |
| 48.1 | 32 | 0 1 8 |
| 62.5 | 16 | 0 2 4 |
| 84.5 | 14 | 2 1 4 |
| 37.2 | 13 | 0 1 5 |
| 28.9 | 10 | 1 0 1 |
| 80.7 | 10 | 1 1 12 |
| 72.3 | 9 | 2 0 8 |
| 68.4 | 7 | 1 1 9 |


The following is a theoretical X-ray powder pattern of La4Y8Sc. It was derived from DFT lattice parameters and positions (GGA-PBE), using Cu Kα, 1.54184 Å.
Neutral-atom scattering factors, no anomalous dispersion.

Structure:
a = 11.0654 Å, b = 11.0654 Å, c = 13.4976 Å
α = 90.00°, β = 90.00°, γ = 120.00°
Space group R-3m (No. 166, hexagonal axes)
Inequivalent atoms, fractional coordinates:
La (0.0000, 0.0000, 0.0000) (multiplicity 3)
La (0.0000, 0.5000, 0.0000) (multiplicity 9)
Y (0.0000, 0.0000, 0.2424) (multiplicity 6)
Y (0.0096, 0.5048, 0.7468) (multiplicity 18)
Sc (0.0000, 0.0000, 0.5000) (multiplicity 3)

Peak list (10 most intense, 2θ from 10° to 90°, most intense first)
| 2θ/deg | Rel. int. | h k l |
| --- | --- | --- |
| 32.4 | 100 | 2 2 0 |
| 19.7 | 34 | 0 0 3 |
| 57.8 | 27 | 6 0 0 |
| 46.5 | 18 | 4 0 4 |
| 38.2 | 14 | 2 2 3 |
| 57.9 | 9 | 2 0 8 |
| 77.1 | 7 | 6 2 4 |
| 77.3 | 7 | 4 2 8 |
| 50.9 | 6 | 2 4 1 |
| 67.7 | 6 | 4 4 0 |


The following is a theoretical X-ray powder pattern of Cs2BeVBr6. It was derived from DFT lattice parameters and positions (GGA-PBE), using Cu Kα, 1.54184 Å.
Neutral-atom scattering factors, no anomalous dispersion.

Structure:
a = 7.2570 Å, b = 7.2570 Å, c = 11.6440 Å
α = 90.00°, β = 90.00°, γ = 90.00°
Space group I4/mmm (No. 139)
Inequivalent atoms, fractional coordinates:
Cs (0.0000, 0.5000, 0.2500) (multiplicity 4)
Be (0.0000, 0.0000, 0.0000) (multiplicity 2)
V (0.0000, 0.0000, 0.5000) (multiplicity 2)
Br (0.0000, 0.0000, 0.2769) (multiplicity 4)
Br (0.2304, 0.2304, 0.0000) (multiplicity 8)

Peak list (10 most intense, 2θ from 10° to 90°, most intense first)
| 2θ/deg | Rel. int. | h k l |
| --- | --- | --- |
| 29.0 | 100 | 2 0 2 |
| 35.0 | 41 | 2 2 0 |
| 47.2 | 31 | 2 2 4 |
| 30.7 | 28 | 0 0 4 |
| 59.1 | 23 | 4 2 2 |
| 50.3 | 16 | 4 0 0 |
| 60.1 | 14 | 4 0 4 |
| 53.6 | 14 | 2 0 6 |
| 23.1 | 11 | 1 1 2 |
| 76.5 | 9 | 4 2 6 |


The following is a theoretical X-ray powder pattern of MgNiMo. It was derived from DFT lattice parameters and positions (GGA-PBE), using Cu Kα, 1.54184 Å.
Neutral-atom scattering factors, no anomalous dispersion.

Structure:
a = 2.7124 Å, b = 4.8945 Å, c = 6.7497 Å
α = 92.47°, β = 90.16°, γ = 90.11°
Space group P-1 (No. 2)
Inequivalent atoms, fractional coordinates:
Mg (0.0000, 0.0000, 0.0000) (multiplicity 1)
Mg (0.5000, 0.5000, 0.0000) (multiplicity 1)
Ni (0.0007, 0.6597, 0.6620) (multiplicity 2)
Mo (0.4993, 0.1795, 0.6385) (multiplicity 2)

Peak list (10 most intense, 2θ from 10° to 90°, most intense first)
| 2θ/deg | Rel. int. | h k l |
| --- | --- | --- |
| 40.1 | 100 | 1 1 -1 |
| 13.1 | 81 | 0 0 1 |
| 39.8 | 36 | 0 2 1 |
| 44.8 | 22 | 0 2 -2 |
| 47.2 | 21 | -1 1 2 |
| 47.4 | 21 | 1 1 2 |
| 83.1 | 10 | 2 2 1 |
| 46.3 | 10 | 1 1 -2 |
| 82.8 | 9 | -2 2 1 |
| 83.3 | 8 | 2 0 3 |


The following is a theoretical X-ray powder pattern of Sm6TmSc3. It was derived from DFT lattice parameters and positions (GGA-PBE), using Cu Kα, 1.54184 Å.
Neutral-atom scattering factors, no anomalous dispersion.

Structure:
a = 9.4963 Å, b = 20.6821 Å, c = 6.2816 Å
α = 90.00°, β = 90.00°, γ = 90.00°
Space group Cmc2_1 (No. 36)
Inequivalent atoms, fractional coordinates:
Sm (0.0000, 0.0145, 0.0000) (multiplicity 4)
Sm (0.0000, 0.3017, 0.9800) (multiplicity 4)
Sm (0.1766, 0.2813, 0.4588) (multiplicity 8)
Sm (0.1790, 0.4424, 0.1952) (multiplicity 8)
Tm (0.0000, 0.1542, 0.7629) (multiplicity 4)
Sc (0.0000, 0.4171, 0.6773) (multiplicity 4)
Sc (0.1668, 0.1263, 0.2911) (multiplicity 8)

Peak list (10 most intense, 2θ from 10° to 90°, most intense first)
| 2θ/deg | Rel. int. | h k l |
| --- | --- | --- |
| 32.0 | 100 | 3 1 1 |
| 32.7 | 89 | 1 3 2 |
| 29.2 | 84 | 2 4 1 |
| 31.7 | 72 | 1 7 0 |
| 34.3 | 58 | 3 3 1 |
| 57.6 | 53 | 5 7 0 |
| 29.7 | 40 | 0 2 2 |
| 58.3 | 40 | 6 0 0 |
| 33.4 | 40 | 0 4 2 |
| 16.5 | 39 | 0 2 1 |


The following is a theoretical X-ray powder pattern of TbPmSm2Dy6. It was derived from DFT lattice parameters and positions (GGA-PBE), using Cu Kα, 1.54184 Å.
Neutral-atom scattering factors, no anomalous dispersion.

Structure:
a = 9.0534 Å, b = 15.0706 Å, c = 9.6842 Å
α = 90.00°, β = 98.52°, γ = 90.00°
Space group C2/c (No. 15)
Inequivalent atoms, fractional coordinates:
Tb (0.0000, 0.0924, 0.2500) (multiplicity 4)
Pm (0.0000, 0.4799, 0.7500) (multiplicity 4)
Sm (0.2461, 0.4486, 0.0430) (multiplicity 8)
Dy (0.0666, 0.3105, 0.4430) (multiplicity 8)
Dy (0.1001, 0.1063, 0.6200) (multiplicity 8)
Dy (0.2034, 0.2754, 0.8150) (multiplicity 8)

Peak list (10 most intense, 2θ from 10° to 90°, most intense first)
| 2θ/deg | Rel. int. | h k l |
| --- | --- | --- |
| 31.6 | 100 | 2 2 2 |
| 30.6 | 61 | 3 1 -1 |
| 33.5 | 60 | 1 3 -3 |
| 31.3 | 49 | 1 5 0 |
| 30.4 | 42 | 0 2 3 |
| 28.6 | 37 | 1 3 2 |
| 53.1 | 20 | 4 2 -4 |
| 32.3 | 18 | 1 5 -1 |
| 37.9 | 16 | 1 1 -4 |
| 34.1 | 15 | 2 2 -3 |